ZrCd4Ag2: theoretical X-ray diffraction stick pattern (Cu Kα, 1.54184 Å), based on a structure optimized by DFT (PBE).
Neutral-atom scattering factors, no anomalous dispersion.

Structural model:
```
data_ZrCd4Ag2
_cell_length_a 4.876
_cell_length_b 4.876
_cell_length_c 8.222
_cell_angle_alpha 115.72
_cell_angle_beta 115.72
_cell_angle_gamma 60.99
_space_group_name_H-M_alt 'P 1'
_space_group_IT_number 1
loop_
_space_group_symop_operation_xyz
'x,y,z'
loop_
_atom_site_label
_atom_site_fract_x
_atom_site_fract_y
_atom_site_fract_z
Zr1 0.000 0.000 0.000
Cd1 0.227 0.227 0.787
Cd2 0.442 0.442 0.224
Cd3 0.558 0.558 0.776
Cd4 0.773 0.773 0.213
Ag1 0.198 0.198 0.404
Ag2 0.802 0.802 0.596
```

Principal peaks in the range 2θ from 10° to 90°, by intensity:
- 37.43°, d 2.403, rel. 100
- 36.31°, d 2.474, rel. 62
- 37.98°, d 2.369, rel. 59
- 38.14°, d 2.360, rel. 44
- 33.17°, d 2.701, rel. 25
- 66.06°, d 1.414, rel. 18